1.
Diffraction record for Hg2C2N2O. The XRD peak list is theoretical, not measured: it uses the GGA-PBE geometry in Alexandria and Cu Ka.

Structural model:
Unit cell a=19.187 b=4.235 c=7.115 alpha=90.00 beta=90.00 gamma=90.00
Space group Pnma (No. 62)
Inequivalent atoms, fractional coordinates:
1 Hg 0.021 0.250 0.200 [4 per cell]
2 Hg 0.153 0.750 0.872 [4 per cell]
3 C 0.077 0.250 0.444 [4 per cell]
4 C 0.243 0.750 0.724 [4 per cell]
5 N 0.101 0.250 0.594 [4 per cell]
6 N 0.207 0.250 0.129 [4 per cell]
7 O 0.058 0.750 0.004 [4 per cell]

Peak list (12 most intense, 2θ = 10–90°, sorted by position)
2theta	I/Imax	hkl
13.3	61.9	1 0 1
22.4	32.0	4 0 1
24.5	100.0	0 1 1
27.9	21.2	6 0 0
28.1	27.4	4 1 0
30.7	22.8	6 0 1
33.2	42.8	1 1 2
34.4	25.6	5 0 2
35.1	25.5	6 1 0
37.4	36.4	6 1 1
42.7	20.1	0 2 0
50.1	20.6	5 1 3



2.
Diffraction record for RbHgC3N3O3. The XRD peak list is theoretical, not measured: it uses the GGA-PBE geometry in Alexandria and Cu Ka.

Structural model:
Unit cell a=10.738 b=4.227 c=18.417 alpha=90.00 beta=90.00 gamma=90.00
Space group Pnma (No. 62)
Inequivalent atoms, fractional coordinates:
1 Rb 0.076 0.250 0.162 [4 per cell]
2 Hg 0.156 0.250 0.536 [4 per cell]
3 C 0.122 0.250 0.376 [4 per cell]
4 C 0.128 0.250 0.698 [4 per cell]
5 C 0.130 0.250 0.969 [4 per cell]
6 N 0.068 0.250 0.434 [4 per cell]
7 N 0.203 0.250 0.648 [4 per cell]
8 N 0.212 0.250 0.014 [4 per cell]
9 O 0.047 0.250 0.924 [4 per cell]
10 O 0.059 0.250 0.749 [4 per cell]
11 O 0.168 0.250 0.317 [4 per cell]

Peak list (12 most intense, 2θ = 10–90°, sorted by position)
2theta	I/Imax	hkl
12.7	35.7	1 0 2
16.6	32.9	1 0 3
23.1	38.4	1 1 1
25.3	32.8	3 0 1
26.9	100.0	2 1 0
28.6	19.5	2 1 2
29.4	35.1	2 0 5
32.2	33.9	0 1 5
38.3	17.0	3 1 4
40.0	15.6	1 0 8
42.8	15.5	0 2 0
47.8	15.6	5 1 1